The following is a computed powder X-ray diffraction pattern of SrV2P2H8O14. It was derived from a cell relaxed with GGA+U, using copper Kα.

Structural model:
Cell: 6.438 6.438 13.130 Å, 97.46 97.46 90.04°
Atoms (fractional coordinates):
1 Sr 0.194 0.806 0.500
2 Sr 0.806 0.194 0.000
3 V 0.014 0.235 0.702
4 V 0.235 0.014 0.202
5 V 0.524 0.764 0.786
6 V 0.764 0.524 0.286
7 P 0.021 0.750 0.744
8 P 0.250 0.528 0.246
9 P 0.528 0.250 0.746
10 P 0.750 0.021 0.244
11 H 0.125 0.271 0.503
12 H 0.192 0.900 0.953
13 H 0.271 0.125 0.003
14 H 0.334 0.424 0.051
15 H 0.336 0.376 0.929
16 H 0.376 0.336 0.429
17 H 0.424 0.334 0.551
18 H 0.549 0.859 0.053
19 H 0.552 0.642 0.985
20 H 0.573 0.952 0.415
21 H 0.642 0.552 0.485
22 H 0.662 0.889 0.521
23 H 0.859 0.549 0.553
24 H 0.889 0.662 0.021
25 H 0.900 0.192 0.453
26 H 0.952 0.573 0.915
27 O 0.005 0.917 0.668
28 O 0.009 0.175 0.512
29 O 0.015 0.538 0.671
30 O 0.047 0.262 0.830
31 O 0.083 0.559 0.323
32 O 0.175 0.009 0.012
33 O 0.212 0.318 0.173
34 O 0.225 0.776 0.822
35 O 0.242 0.702 0.175
36 O 0.262 0.047 0.330
37 O 0.318 0.212 0.673
38 O 0.359 0.415 0.497
39 O 0.415 0.359 0.997
40 O 0.465 0.530 0.316
41 O 0.469 0.745 0.660
42 O 0.530 0.465 0.816
43 O 0.538 0.015 0.171
44 O 0.545 0.963 0.487
45 O 0.559 0.083 0.823
46 O 0.590 0.790 0.986
47 O 0.702 0.242 0.675
48 O 0.745 0.469 0.160
49 O 0.763 0.841 0.312
50 O 0.776 0.225 0.322
51 O 0.790 0.590 0.486
52 O 0.841 0.763 0.812
53 O 0.917 0.005 0.168
54 O 0.963 0.545 0.987

The 10 most intense peaks (10 to 80 degrees two-theta), in order of rising 2θ:
| 2θ (°) | I/Imax |
| --- | --- |
| 13.72 | 46 |
| 14.66 | 38 |
| 23.37 | 32 |
| 26.46 | 35 |
| 27.64 | 50 |
| 27.91 | 64 |
| 29.71 | 100 |
| 31.10 | 30 |
| 32.68 | 64 |
| 42.03 | 27 |